Computed powder XRD pattern
Compound: Ba2AlAg3
Radiation: Cu Kα (weighted mean of Kα1 and Kα2)
Structure: a DFT-relaxed cell (GGA-PBE, Alexandria)

Structural model:
Cell lengths 9.2453, 9.6140, 16.6574 Å; angles 90.00, 90.00, 90.00 degrees
Space group Fmmm (No. 69)
Unique sites:
1 Ba 0.2428 0.0000 0.0000 [8 per cell]
2 Ba 0.2500 0.2500 0.2500 [8 per cell]
3 Al 0.0000 0.0000 0.3339 [8 per cell]
4 Ag 0.0000 0.0000 0.1732 [8 per cell]
5 Ag 0.0000 0.2388 0.4138 [16 per cell]

Principal peaks in the range 10° ≤ 2θ ≤ 80°, low angle first:
(2 2 2), 28.86°, I 100; (0 2 6), 37.41°, I 48; (4 0 0), 38.97°, I 15; (2 0 8), 47.92°, I 24; (4 2 6), 55.12°, I 30; (2 4 8), 62.33°, I 21

=====

Computed powder XRD pattern
Compound: AlAgAsO4
Radiation: Cu Kα (weighted mean of Kα1 and Kα2)
Structure: a DFT-relaxed cell (GGA-PBE, Alexandria)

Structural model:
Cell lengths 5.2372, 5.2372, 7.9448 Å; angles 90.00, 90.00, 90.00 degrees
Space group I-4 (No. 82)
Unique sites:
1 Al 0.0000 0.0000 0.0000 [2 per cell]
2 Ag 0.0000 0.5000 0.2500 [2 per cell]
3 As 0.0000 0.5000 0.7500 [2 per cell]
4 O 0.1456 0.7571 0.8734 [8 per cell]

Principal peaks in the range 10° ≤ 2θ ≤ 80°, low angle first:
(0 0 2), 22.38°, I 36; (1 1 0), 24.03°, I 59; (1 1 2), 33.07°, I 100; (2 0 0), 34.24°, I 28; (2 0 2), 41.29°, I 29; (1 3 2), 60.57°, I 31

=====

Repeat the second record exactly.
Computed powder XRD pattern
Compound: AlAgAsO4
Radiation: Cu Kα (weighted mean of Kα1 and Kα2)
Structure: a DFT-relaxed cell (GGA-PBE, Alexandria)

Structural model:
Cell lengths 5.2372, 5.2372, 7.9448 Å; angles 90.00, 90.00, 90.00 degrees
Space group I-4 (No. 82)
Unique sites:
1 Al 0.0000 0.0000 0.0000 [2 per cell]
2 Ag 0.0000 0.5000 0.2500 [2 per cell]
3 As 0.0000 0.5000 0.7500 [2 per cell]
4 O 0.1456 0.7571 0.8734 [8 per cell]

Principal peaks in the range 10° ≤ 2θ ≤ 80°, low angle first:
(0 0 2), 22.38°, I 36; (1 1 0), 24.03°, I 59; (1 1 2), 33.07°, I 100; (2 0 0), 34.24°, I 28; (2 0 2), 41.29°, I 29; (1 3 2), 60.57°, I 31